Record 1
The following is a calculated powder XRD pattern of ZnNi2N2. It was derived from a DFT-relaxed cell (PBE, the Materials Project), using Cu Kα.
Intensities are scaled so that the largest is 100.

Cell and atoms:
Cell: 3.4850 3.4850 5.1360 Å, 90.00 90.00 90.00°
Space group P-4m2 (No. 115)
One atom of each set of equivalent atoms:
Zn 0.0000 0.0000 0.0000 [1 per cell]
Ni 0.5000 0.5000 0.2698 [2 per cell]
N 0.0000 0.5000 0.7556 [2 per cell]

The 12 most intense peaks (2θ from 15° to 90°), by angle:
(hkl)	Position (°2θ)	I/Imax
0 0 1	17.27	22
1 0 0	25.56	20
1 0 1	31.01	57
1 1 0	36.46	67
1 1 1	40.61	10
1 0 2	43.79	100
2 0 0	52.52	37
2 1 1	62.25	14
1 1 3	66.50	10
2 1 2	70.71	43
2 2 0	77.46	10
3 1 0	88.78	10

---

Record 2
The following is a calculated powder XRD pattern of ZnNi5N4. It was derived from a DFT-relaxed cell (PBE, the Materials Project), using Cu Kα.
Intensities are scaled so that the largest is 100.

Cell and atoms:
Cell: 5.5556 9.0536 4.3586 Å, 90.00 90.00 90.00°
Space group Pmmn (No. 59, origin choice 2)
One atom of each set of equivalent atoms:
Zn 0.2500 0.2500 0.2352 [2 per cell]
Ni 0.0183 0.1006 0.8308 [8 per cell]
Ni 0.2500 0.7500 0.7450 [2 per cell]
N 0.0047 0.7500 0.4494 [4 per cell]
N 0.2500 0.5497 0.9100 [4 per cell]

The 12 most intense peaks (2θ from 15° to 90°), by angle:
(hkl)	Position (°2θ)	I/Imax
0 0 1	20.38	30
0 3 1	36.20	91
2 2 0	38.01	20
2 1 1	39.75	100
0 0 2	41.43	16
0 3 2	51.74	13
2 4 0	52.13	30
2 2 2	57.47	16
2 3 2	62.28	15
2 4 2	68.67	15
4 3 1	79.00	15
2 7 1	85.83	16

---

Record 3
The following is a calculated powder XRD pattern of ZrNi4N4. It was derived from a DFT-relaxed cell (PBE, the Materials Project), using Cu Kα.
Intensities are scaled so that the largest is 100.

Cell and atoms:
Cell: 5.4624 5.6090 7.4531 Å, 97.58 99.24 117.52°
Space group P-1 (No. 2)
One atom of each set of equivalent atoms:
Zr 0.1913 0.4534 0.1938 [2 per cell]
Ni 0.0377 0.8804 0.2163 [2 per cell]
Ni 0.2618 0.0349 0.5532 [2 per cell]
Ni 0.2839 0.5669 0.6167 [2 per cell]
Ni 0.3860 0.0884 0.9153 [2 per cell]
N 0.1233 0.6741 0.4115 [2 per cell]
N 0.2102 0.8019 0.0294 [2 per cell]
N 0.3312 0.2228 0.3633 [2 per cell]
N 0.3491 0.3121 0.7651 [2 per cell]

The 12 most intense peaks (2θ from 15° to 90°), by angle:
(hkl)	Position (°2θ)	I/Imax
-1 1 2	30.99	65
1 1 -1	31.35	37
1 -2 1	33.14	25
0 1 2	34.54	34
1 0 2	35.20	55
0 2 -1	36.32	46
2 0 -1	37.22	100
1 0 -3	37.79	72
2 -2 0	38.05	72
-1 2 2	43.60	27
2 -1 2	45.23	23
1 -2 3	47.13	56

---

Record 4
The following is a calculated powder XRD pattern of RbOsNO3. It was derived from a DFT-relaxed cell (PBE, the Materials Project), using Cu Kα.
Intensities are scaled so that the largest is 100.

Cell and atoms:
Cell: 5.8395 5.9690 14.2216 Å, 90.00 90.00 90.00°
Space group P2_12_12_1 (No. 19)
One atom of each set of equivalent atoms:
Rb 0.0280 0.2486 0.1246 [4 per cell]
Os 0.0365 0.7515 0.8708 [4 per cell]
N 0.0126 0.0190 0.5626 [4 per cell]
O 0.0162 0.4885 0.5587 [4 per cell]
O 0.1546 0.2459 0.7252 [4 per cell]
O 0.1748 0.2548 0.3327 [4 per cell]

The 12 most intense peaks (2θ from 15° to 90°), by angle:
(hkl)	Position (°2θ)	I/Imax
0 1 1	16.10	13
1 0 1	16.41	14
1 1 2	24.73	100
0 0 4	25.05	24
0 2 0	29.94	17
2 0 0	30.62	14
0 2 4	39.42	15
2 0 4	39.96	12
1 1 6	43.92	22
1 3 2	50.10	14
2 2 4	50.72	13
3 1 2	50.99	10